No. 1
Starting from a PBE-relaxed structure, the powder diffractogram of NiTe2 was calculated for copper Kα.

Principal peaks in the range 2θ = 5–70°, in order of rising 2θ:
index	2theta	Rel. int.
0 0 2	15.92	19.9
0 2 1	27.85	27.2
1 1 2	31.24	100.0
0 2 3	36.17	44.6
1 3 1	47.82	27.4
1 1 5	49.18	19.2

a b c (Å): 3.8516 6.6922 11.1339
angles (deg): 90.00 90.00 90.00
Space group Pmn2_1 (No. 31)
Symmetry-distinct sites (fractional):
Ni (0.0000, 0.0286, 0.0000) x2
Ni (0.0000, 0.4709, 0.4995) x2
Te (0.0000, 0.1420, 0.6183) x2
Te (0.0000, 0.3586, 0.1176) x2
Te (0.0000, 0.6989, 0.8811) x2
Te (0.0000, 0.8016, 0.3818) x2



No. 2
Starting from a PBE-relaxed structure, the powder diffractogram of Ni9Te2 was calculated for copper Kα.

Principal peaks in the range 2θ = 5–70°, in order of rising 2θ:
index	2theta	Rel. int.
0 0 2	5.55	100.0
1 0 5	39.06	16.0
1 0 6	40.22	40.4
0 1 11	48.40	15.3
0 1 12	50.43	14.6
1 1 0	65.35	11.6

a b c (Å): 2.8565 2.8565 31.8465
angles (deg): 90.00 90.00 120.00
Space group P3m1 (No. 156)
Symmetry-distinct sites (fractional):
Ni (0.0000, 0.0000, 0.0000) x1
Ni (0.0000, 0.0000, 0.1692) x1
Ni (0.0000, 0.0000, 0.8295) x1
Ni (0.3333, 0.6667, 0.1130) x1
Ni (0.3333, 0.6667, 0.7710) x1
Ni (0.3333, 0.6667, 0.9426) x1
Ni (0.6667, 0.3333, 0.0560) x1
Ni (0.6667, 0.3333, 0.2277) x1
Ni (0.6667, 0.3333, 0.8862) x1
Te (0.3333, 0.6667, 0.2912) x1
Te (0.6667, 0.3333, 0.7077) x1



No. 3
Starting from a PBE-relaxed structure, the powder diffractogram of Ni15Te was calculated for copper Kα.

Principal peaks in the range 2θ = 5–70°, in order of rising 2θ:
index	2theta	Rel. int.
0 0 2	5.29	100.0
0 1 13	43.59	32.3
2 1 0	44.74	57.9
0 1 14	45.93	23.4
2 0 13	51.18	19.7
2 0 14	53.26	15.1

a b c (Å): 4.9592 3.5187 33.4315
angles (deg): 90.00 90.01 90.00
Space group P2_1/m (No. 11)
Symmetry-distinct sites (fractional):
Ni (0.1243, 0.2500, 0.1658) x2
Ni (0.1251, 0.2500, 0.0185) x2
Ni (0.1252, 0.2500, 0.0920) x2
Ni (0.1253, 0.2500, 0.2409) x2
Ni (0.1250, 0.2500, 0.7973) x2
Ni (0.1250, 0.2500, 0.8710) x2
Ni (0.1250, 0.2500, 0.9448) x2
Ni (0.3743, 0.7500, 0.8342) x2
Ni (0.3750, 0.7500, 0.0554) x2
Ni (0.3750, 0.7500, 0.1289) x2
Ni (0.3750, 0.7500, 0.2027) x2
Ni (0.3750, 0.7500, 0.2756) x2
Ni (0.3754, 0.7500, 0.7591) x2
Ni (0.3752, 0.7500, 0.9080) x2
Ni (0.3751, 0.7500, 0.9815) x2
Te (0.1250, 0.2500, 0.7141) x2



No. 4
Starting from a PBE-relaxed structure, the powder diffractogram of Ni9Te2 was calculated for copper Kα.

Principal peaks in the range 2θ = 5–70°, in order of rising 2θ:
index	2theta	Rel. int.
0 0 2	5.77	100.0
0 0 5	14.46	8.9
1 0 5	39.49	29.2
1 0 6	40.73	28.8
0 1 11	49.45	23.2
1 1 0	65.80	11.3

a b c (Å): 2.8390 2.8390 30.6278
angles (deg): 90.00 90.00 120.00
Space group P-3m1 (No. 164)
Symmetry-distinct sites (fractional):
Ni (0.0000, 0.0000, 0.0000) x1
Ni (0.0000, 0.0000, 0.1787) x2
Ni (0.3333, 0.6667, 0.1191) x2
Ni (0.3333, 0.6667, 0.7601) x2
Ni (0.3333, 0.6667, 0.9404) x2
Te (0.3333, 0.6667, 0.3059) x2



No. 5
Starting from a PBE-relaxed structure, the powder diffractogram of Ni3Te4 was calculated for copper Kα.

Principal peaks in the range 2θ = 5–70°, in order of rising 2θ:
index	2theta	Rel. int.
2 2 2	28.89	78.2
4 0 0	33.48	94.9
5 1 1	43.95	24.0
4 4 0	48.08	100.0
6 2 2	57.06	30.7
4 4 4	59.85	21.3

a b c (Å): 10.7059 10.7059 10.7059
angles (deg): 90.00 90.00 90.00
Space group Fd-3m (No. 227, origin choice 2)
Symmetry-distinct sites (fractional):
Ni (0.0000, 0.0000, 0.0000) x16
Ni (0.1250, 0.1250, 0.6250) x8
Te (0.0086, 0.0086, 0.2414) x32



No. 6
Starting from a PBE-relaxed structure, the powder diffractogram of Ni10Te was calculated for copper Kα.

Principal peaks in the range 2θ = 5–70°, in order of rising 2θ:
index	2theta	Rel. int.
0 0 2	5.62	100.0
0 0 3	8.43	35.6
1 1 11	42.23	23.5
1 1 12	44.54	67.5
3 1 -4	44.72	68.1
0 2 0	51.58	33.2

a b c (Å): 7.8024 3.5456 31.4503
angles (deg): 90.00 90.04 90.00
Space group C2/m (No. 12)
Symmetry-distinct sites (fractional):
Ni (0.0456, 0.0000, 0.2890) x4
Ni (0.0498, 0.0000, 0.5374) x4
Ni (0.0501, 0.5000, 0.4126) x4
Ni (0.0505, 0.5000, 0.6617) x4
Ni (0.1485, 0.5000, 0.7373) x4
Ni (0.1502, 0.0000, 0.3630) x4
Ni (0.1500, 0.0000, 0.6122) x4
Ni (0.1500, 0.5000, 0.4875) x4
Ni (0.2481, 0.0000, 0.6850) x4
Ni (0.2503, 0.0000, 0.4376) x4
Te (0.1509, 0.5000, 0.2337) x4



No. 7
Starting from a PBE-relaxed structure, the powder diffractogram of Ni2Te3 was calculated for copper Kα.

Principal peaks in the range 2θ = 5–70°, in order of rising 2θ:
index	2theta	Rel. int.
0 1 2	18.60	11.1
1 1 3	31.20	100.0
1 1 6	41.71	33.6
3 0 0	47.53	30.5
1 1 9	55.59	17.1
2 2 3	57.96	20.5

a b c (Å): 6.6274 6.6274 17.1678
angles (deg): 90.00 90.00 120.00
Space group R-3c (No. 167, hexagonal axes)
Symmetry-distinct sites (fractional):
Ni (0.0000, 0.0000, 0.1503) x12
Te (0.0000, 0.3046, 0.2500) x18



No. 8
Starting from a PBE-relaxed structure, the powder diffractogram of Ni15Te was calculated for copper Kα.

Principal peaks in the range 2θ = 5–70°, in order of rising 2θ:
index	2theta	Rel. int.
0 0 3	7.20	47.5
1 1 9	42.37	11.5
1 1 10	43.76	53.4
1 1 11	45.27	100.0
2 0 0	51.72	50.1
0 0 21	52.15	13.4

a b c (Å): 3.5355 3.5358 36.8344
angles (deg): 90.00 90.00 90.00
Space group Pmma (No. 51)
Symmetry-distinct sites (fractional):
Ni (0.2500, 0.0000, 0.0232) x2
Ni (0.2500, 0.0000, 0.1160) x2
Ni (0.2500, 0.0000, 0.2088) x2
Ni (0.2500, 0.0000, 0.3018) x2
Ni (0.2500, 0.0000, 0.6516) x2
Ni (0.2500, 0.0000, 0.7447) x2
Ni (0.2500, 0.0000, 0.8377) x2
Ni (0.2500, 0.0000, 0.9304) x2
Ni (0.2500, 0.5000, 0.0696) x2
Ni (0.2500, 0.5000, 0.1624) x2
Ni (0.2500, 0.5000, 0.2554) x2
Ni (0.2500, 0.5000, 0.6982) x2
Ni (0.2500, 0.5000, 0.7912) x2
Ni (0.2500, 0.5000, 0.8840) x2
Ni (0.2500, 0.5000, 0.9768) x2
Te (0.2500, 0.5000, 0.3620) x2



No. 9
Starting from a PBE-relaxed structure, the powder diffractogram of Ni11Te2 was calculated for copper Kα.

Principal peaks in the range 2θ = 5–70°, in order of rising 2θ:
index	2theta	Rel. int.
0 0 3	11.41	80.5
1 1 -8	41.23	59.8
1 1 -9	44.21	100.0
3 1 1	44.60	78.7
3 1 2	45.62	81.3
2 0 11	52.28	43.9

a b c (Å): 7.8996 3.3803 23.5481
angles (deg): 90.00 98.91 90.00
Space group C2/m (No. 12)
Symmetry-distinct sites (fractional):
Ni (0.0000, 0.0000, 0.0000) x2
Ni (0.0529, 0.0000, 0.8991) x4
Ni (0.0729, 0.5000, 0.1743) x4
Ni (0.1319, 0.5000, 0.0686) x4
Ni (0.1850, 0.5000, 0.9663) x4
Ni (0.2393, 0.5000, 0.8624) x4
Te (0.1109, 0.0000, 0.7830) x4



No. 10
Starting from a PBE-relaxed structure, the powder diffractogram of Ni10Te was calculated for copper Kα.

Principal peaks in the range 2θ = 5–70°, in order of rising 2θ:
index	2theta	Rel. int.
1 1 0	42.65	100.0
0 1 16	44.93	48.0
0 1 17	46.88	34.2
1 0 16	49.57	34.7
1 0 17	51.38	25.6
0 2 0	53.84	25.2

a b c (Å): 2.7097 3.4060 40.0678
angles (deg): 90.00 90.00 90.00
Space group Pmm2 (No. 25)
Symmetry-distinct sites (fractional):
Ni (0.0000, 0.0000, 0.0000) x1
Ni (0.0000, 0.0000, 0.0602) x1
Ni (0.0000, 0.0000, 0.1203) x1
Ni (0.0000, 0.0000, 0.1806) x1
Ni (0.0000, 0.0000, 0.2410) x1
Ni (0.0000, 0.0000, 0.3015) x1
Ni (0.0000, 0.0000, 0.3619) x1
Ni (0.0000, 0.0000, 0.4218) x1
Ni (0.0000, 0.0000, 0.4821) x1
Ni (0.0000, 0.0000, 0.5437) x1
Ni (0.5000, 0.5000, 0.0301) x1
Ni (0.5000, 0.5000, 0.0905) x1
Ni (0.5000, 0.5000, 0.1504) x1
Ni (0.5000, 0.5000, 0.2107) x1
Ni (0.5000, 0.5000, 0.2712) x1
Ni (0.5000, 0.5000, 0.3317) x1
Ni (0.5000, 0.5000, 0.3920) x1
Ni (0.5000, 0.5000, 0.4523) x1
Ni (0.5000, 0.5000, 0.5121) x1
Ni (0.5000, 0.5000, 0.9684) x1
Te (0.0000, 0.0000, 0.9329) x1
Te (0.5000, 0.5000, 0.5792) x1



No. 11
Starting from a PBE-relaxed structure, the powder diffractogram of TlNi3Te5 was calculated for copper Kα.

Principal peaks in the range 2θ = 5–70°, in order of rising 2θ:
index	2theta	Rel. int.
1 0 2	29.61	100.0
1 1 0	31.21	97.7
2 0 2	43.55	80.3
2 1 2	54.55	36.4
1 1 4	58.27	31.9
2 2 0	65.09	20.9

a b c (Å): 5.7319 5.7319 7.5994
angles (deg): 90.00 90.00 120.00
Space group P6/mmm (No. 191)
Symmetry-distinct sites (fractional):
Tl (0.0000, 0.0000, 0.0000) x1
Ni (0.0000, 0.5000, 0.5000) x3
Te (0.0000, 0.0000, 0.5000) x1
Te (0.3333, 0.6667, 0.2401) x4



No. 12
Starting from a PBE-relaxed structure, the powder diffractogram of YNi4Te3 was calculated for copper Kα.

Principal peaks in the range 2θ = 5–70°, in order of rising 2θ:
index	2theta	Rel. int.
1 1 -1	29.86	83.4
2 0 -1	32.96	96.1
0 1 2	35.29	100.0
1 1 -2	36.53	99.8
1 1 2	41.65	87.9
0 2 0	47.20	80.5

a b c (Å): 5.5282 3.8511 6.9373
angles (deg): 90.00 102.52 90.00
Space group Pm (No. 6)
Symmetry-distinct sites (fractional):
Y (0.0000, 0.0000, 0.0000) x1
Ni (0.1221, 0.5000, 0.6762) x1
Ni (0.4212, 0.0000, 0.6531) x1
Ni (0.5234, 0.0000, 0.2150) x1
Ni (0.8452, 0.5000, 0.2851) x1
Te (0.3023, 0.5000, 0.3622) x1
Te (0.5147, 0.5000, 0.9384) x1
Te (0.8429, 0.0000, 0.5520) x1



What did the fourth record say?
Starting from a PBE-relaxed structure, the powder diffractogram of Ni9Te2 was calculated for copper Kα.

Principal peaks in the range 2θ = 5–70°, in order of rising 2θ:
index	2theta	Rel. int.
0 0 2	5.77	100.0
0 0 5	14.46	8.9
1 0 5	39.49	29.2
1 0 6	40.73	28.8
0 1 11	49.45	23.2
1 1 0	65.80	11.3

a b c (Å): 2.8390 2.8390 30.6278
angles (deg): 90.00 90.00 120.00
Space group P-3m1 (No. 164)
Symmetry-distinct sites (fractional):
Ni (0.0000, 0.0000, 0.0000) x1
Ni (0.0000, 0.0000, 0.1787) x2
Ni (0.3333, 0.6667, 0.1191) x2
Ni (0.3333, 0.6667, 0.7601) x2
Ni (0.3333, 0.6667, 0.9404) x2
Te (0.3333, 0.6667, 0.3059) x2



Repeat the tenth record exactly.
Starting from a PBE-relaxed structure, the powder diffractogram of Ni10Te was calculated for copper Kα.

Principal peaks in the range 2θ = 5–70°, in order of rising 2θ:
index	2theta	Rel. int.
1 1 0	42.65	100.0
0 1 16	44.93	48.0
0 1 17	46.88	34.2
1 0 16	49.57	34.7
1 0 17	51.38	25.6
0 2 0	53.84	25.2

a b c (Å): 2.7097 3.4060 40.0678
angles (deg): 90.00 90.00 90.00
Space group Pmm2 (No. 25)
Symmetry-distinct sites (fractional):
Ni (0.0000, 0.0000, 0.0000) x1
Ni (0.0000, 0.0000, 0.0602) x1
Ni (0.0000, 0.0000, 0.1203) x1
Ni (0.0000, 0.0000, 0.1806) x1
Ni (0.0000, 0.0000, 0.2410) x1
Ni (0.0000, 0.0000, 0.3015) x1
Ni (0.0000, 0.0000, 0.3619) x1
Ni (0.0000, 0.0000, 0.4218) x1
Ni (0.0000, 0.0000, 0.4821) x1
Ni (0.0000, 0.0000, 0.5437) x1
Ni (0.5000, 0.5000, 0.0301) x1
Ni (0.5000, 0.5000, 0.0905) x1
Ni (0.5000, 0.5000, 0.1504) x1
Ni (0.5000, 0.5000, 0.2107) x1
Ni (0.5000, 0.5000, 0.2712) x1
Ni (0.5000, 0.5000, 0.3317) x1
Ni (0.5000, 0.5000, 0.3920) x1
Ni (0.5000, 0.5000, 0.4523) x1
Ni (0.5000, 0.5000, 0.5121) x1
Ni (0.5000, 0.5000, 0.9684) x1
Te (0.0000, 0.0000, 0.9329) x1
Te (0.5000, 0.5000, 0.5792) x1